Entry 1:
Structure and theoretical powder XRD pattern of LiBH16O10 (a cell relaxed with GGA-PBE; Cu Kα).
Neutral-atom scattering factors, no anomalous dispersion.

Crystal structure
```
LiBH16O10
1.0
6.090 0.000 0.000
-0.079 6.431 0.000
-0.006 -3.202 5.655
Li B H O
1 1 16 10
Direct
0.000 0.000 0.000 Li
0.419 0.331 0.667 B
0.007 0.280 0.841 H
0.007 0.563 0.734 H
0.101 0.226 0.518 H
0.256 0.665 0.336 H
0.389 0.059 0.897 H
0.389 0.095 0.159 H
0.424 0.700 0.893 H
0.464 0.618 0.172 H
0.485 0.431 0.413 H
0.489 0.975 0.560 H
0.753 0.631 0.794 H
0.754 0.144 0.360 H
0.754 0.211 0.849 H
0.897 0.914 0.324 H
0.919 0.670 0.487 H
0.920 0.517 0.200 H
0.174 0.338 0.671 O
0.324 0.996 0.997 O
0.421 0.666 0.338 O
0.502 0.288 0.432 O
0.504 0.135 0.703 O
0.505 0.556 0.867 O
0.895 0.686 0.756 O
0.896 0.250 0.938 O
0.898 0.062 0.308 O
0.969 0.671 0.340 O
```

The 8 most intense peaks (2θ from 10° to 90°), in order of rising 2θ:
two_theta	d_spacing	intensity	(hkl)
15.85	5.590	33	0 1 -1
27.42	3.252	34	0 1 -2
27.74	3.216	17	0 2 -1
29.33	3.045	66	2 0 0
31.19	2.867	50	1 1 -2
31.31	2.857	100	1 1 1
31.64	2.828	22	0 0 2
32.02	2.795	33	0 2 -2

=====

Entry 2:
Structure and theoretical powder XRD pattern of LiBSbH6 (a cell relaxed with GGA-PBE; Cu Kα).
Neutral-atom scattering factors, no anomalous dispersion.

Crystal structure
```
LiBSbH6
1.0
3.423 0.000 0.000
1.680 4.087 0.000
1.381 0.389 7.700
Li B Sb H
1 1 1 6
Direct
0.000 0.000 0.000 Li
0.802 0.557 0.046 B
0.051 0.142 0.492 Sb
0.022 0.023 0.712 H
0.127 0.402 0.951 H
0.587 0.771 0.948 H
0.609 0.388 0.120 H
0.824 0.551 0.546 H
0.892 0.680 0.158 H
```

The 8 most intense peaks (2θ from 10° to 90°), in order of rising 2θ:
two_theta	d_spacing	intensity	(hkl)
11.49	7.700	100	0 0 1
21.77	4.082	30	0 1 0
23.10	3.850	38	0 0 2
24.16	3.684	31	0 1 1
25.20	3.534	25	0 1 -1
28.49	3.133	20	1 0 0
28.83	3.097	19	1 1 0
29.06	3.073	16	1 1 1